(1)
# Nd5Ir2Br2
Computed powder X-ray diffraction pattern, copper Kα. Input: a DFT-relaxed cell (GGA-PBE, Alexandria).
No peak broadening, texture or thermal motion is included.

Crystal structure
Cell: 16.0584 8.0447 8.0785 Å, 90.00 90.00 90.00°
Space group Cmce (No. 64)
Symmetry-distinct sites (fractional):
Nd 0.0000 0.0000 0.0000
Nd 0.1128 0.1548 0.3463
Ir 0.0000 0.1431 0.6404
Br 0.2077 0.0000 0.0000

Principal peaks in the range 2θ = 10–90°, by intensity:
two_theta  I (rel.)
11.0  100.0
33.4  69.1
29.9  51.5
37.5  50.0
35.7  48.6
35.6  47.0
31.4  32.4
63.6  17.4
42.1  17.0
66.6  16.7
32.0  16.5
45.2  15.6

=====

(2)
# Nd3IrBr3
Computed powder X-ray diffraction pattern, copper Kα. Input: a DFT-relaxed cell (GGA-PBE, Alexandria).
No peak broadening, texture or thermal motion is included.

Crystal structure
Cell: 9.0075 4.1921 12.2456 Å, 90.00 92.16 90.00°
Space group P2_1/m (No. 11)
Symmetry-distinct sites (fractional):
Nd 0.1092 0.2500 0.3818
Nd 0.1204 0.2500 0.8446
Nd 0.3183 0.7500 0.6197
Ir 0.1082 0.2500 0.6208
Br 0.1197 0.2500 0.1115
Br 0.3617 0.7500 0.8701
Br 0.3953 0.7500 0.3725

Principal peaks in the range 2θ = 10–90°, by intensity:
two_theta  I (rel.)
29.1  100.0
41.1  25.7
42.3  21.1
12.0  14.5
43.2  12.8
53.0  12.4
40.1  10.3
36.8  8.2
60.3  6.8
30.2  6.8
12.4  6.6
37.4  6.3

=====

(3)
# NdPuIrBr
Computed powder X-ray diffraction pattern, copper Kα. Input: a DFT-relaxed cell (GGA-PBE, Alexandria).
No peak broadening, texture or thermal motion is included.

Crystal structure
Cell: 4.0561 4.0561 23.6764 Å, 90.00 90.00 120.00°
Space group R3m (No. 160, hexagonal axes)
Symmetry-distinct sites (fractional):
Nd 0.0000 0.0000 0.0000
Pu 0.0000 0.0000 0.7975
Ir 0.0000 0.0000 0.4039
Br 0.0000 0.0000 0.2340

Principal peaks in the range 2θ = 10–90°, by intensity:
two_theta  I (rel.)
31.7  100.0
11.2  61.1
44.7  44.6
46.2  38.6
26.5  37.6
36.9  21.6
55.8  20.5
74.2  17.9
39.8  12.7
83.5  12.2
29.6  10.0
76.5  9.8